The following is a simulated powder X-ray diffraction pattern of MnTeMoO6. It was derived from the PBE+U geometry in Alexandria, using copper Kα.
No peak broadening, texture or thermal motion is included.

Structural model:
Cell: 5.1839 5.4018 9.3432 Å, 90.00 90.00 90.00°
Positions (direct):
Mn: 0.0000 0.0000 0.0263
Mn: 0.5000 0.5000 0.9737
Te: 0.0000 0.5000 0.2434
Te: 0.5000 0.0000 0.7566
Mo: 0.0000 0.5000 0.6939
Mo: 0.5000 0.0000 0.3061
O: 0.1608 0.2944 0.5819
O: 0.2129 0.6726 0.1087
O: 0.2461 0.1850 0.2063
O: 0.2539 0.6850 0.7937
O: 0.2871 0.1726 0.8913
O: 0.3392 0.7944 0.4181
O: 0.6608 0.2056 0.4181
O: 0.7129 0.8274 0.8913
O: 0.7461 0.3150 0.7937
O: 0.7539 0.8150 0.2063
O: 0.7871 0.3274 0.1087
O: 0.8392 0.7056 0.5819

Peak list (10 most intense, 2θ = 10–80°, most intense first)
2θ = 30.6°, rel. 100, hkl 1 1 2
2θ = 23.8°, rel. 47, hkl 1 1 0
2θ = 25.7°, rel. 37, hkl 1 0 2
2θ = 19.0°, rel. 30, hkl 0 0 2
2θ = 48.7°, rel. 29, hkl 2 2 0
2θ = 33.2°, rel. 19, hkl 0 2 0
2θ = 57.7°, rel. 17, hkl 1 3 2
2θ = 59.6°, rel. 15, hkl 3 1 2
2θ = 52.7°, rel. 15, hkl 2 0 4
2θ = 38.5°, rel. 14, hkl 0 0 4